The following is a calculated X-ray powder pattern of NaBe4SbO7. It was derived from DFT lattice parameters and positions (GGA-PBE), using Cu Ka.

Principal peaks in the range 5 to 70 degrees two-theta, by intensity:
20.23°, I = 100; 36.76°, I = 75; 31.14°, I = 44; 37.43°, I = 42; 19.04°, I = 39; 26.20°, I = 36; 50.42°, I = 27; 41.14°, I = 26

Atomic structure:
```
data_NaBe4SbO7
_symmetry_space_group_name_H-M 'P 63 m c'
_symmetry_Int_Tables_number 186
_symmetry_space_group_name_Hall 'P 6c -2c'
_cell_length_a 5.7434
_cell_length_b 5.7434
_cell_length_c 9.3241
_cell_angle_alpha 90.00
_cell_angle_beta 90.00
_cell_angle_gamma 120.00
loop_
_atom_site_label
_atom_site_type_symbol
_atom_site_fract_x
_atom_site_fract_y
_atom_site_fract_z
Na1 Na 0.3333 0.6667 0.0000
Be1 Be 0.0000 0.0000 0.0607
Be2 Be 0.1598 0.3196 0.3082
Sb1 Sb 0.3333 0.6667 0.5262
O1 O 0.0000 0.0000 0.3830
O2 O 0.0418 0.5209 0.3728
O3 O 0.1442 0.2884 0.1386
```

The following is a calculated X-ray powder pattern of NaBe4SbO7. It was derived from DFT lattice parameters and positions (GGA-PBE), using Cu Ka.

Principal peaks in the range 5 to 70 degrees two-theta, by intensity:
21.17°, I = 100; 38.50°, I = 41; 35.55°, I = 39; 32.64°, I = 30; 19.86°, I = 23; 49.03°, I = 22; 51.93°, I = 20; 27.39°, I = 19

Atomic structure:
```
data_NaBe4SbO7
_symmetry_space_group_name_H-M 'P 63 m c'
_symmetry_Int_Tables_number 186
_symmetry_space_group_name_Hall 'P 6c -2c'
_cell_length_a 5.4871
_cell_length_b 5.4871
_cell_length_c 8.9417
_cell_angle_alpha 90.00
_cell_angle_beta 90.00
_cell_angle_gamma 120.00
loop_
_atom_site_label
_atom_site_type_symbol
_atom_site_fract_x
_atom_site_fract_y
_atom_site_fract_z
Na1 Na 0.3333 0.6667 0.0000
Be1 Be 0.0000 0.0000 0.4354
Be2 Be 0.1656 0.3311 0.6878
Sb1 Sb 0.3333 0.6667 0.3748
O1 O 0.0000 0.0000 0.2499
O2 O 0.0102 0.5051 0.7454
O3 O 0.1607 0.3215 0.5034
```

The following is a calculated X-ray powder pattern of NaBe4Se3O12. It was derived from DFT lattice parameters and positions (GGA-PBE), using Cu Ka.

Principal peaks in the range 5 to 70 degrees two-theta, by intensity:
31.24°, I = 100; 23.71°, I = 97; 17.85°, I = 74; 44.71°, I = 68; 29.83°, I = 39; 61.19°, I = 37; 15.48°, I = 28; 51.27°, I = 23

Atomic structure:
```
data_NaBe4Se3O12
_symmetry_space_group_name_H-M 'R 3 2'
_symmetry_Int_Tables_number 155
_symmetry_space_group_name_Hall 'R 3 2"'
_cell_length_a 9.9399
_cell_length_b 9.9399
_cell_length_c 7.6684
_cell_angle_alpha 90.00
_cell_angle_beta 90.00
_cell_angle_gamma 120.00
loop_
_atom_site_label
_atom_site_type_symbol
_atom_site_fract_x
_atom_site_fract_y
_atom_site_fract_z
Na1 Na 0.0000 0.0000 0.0000
Be1 Be 0.0000 0.0000 0.5000
Be2 Be 0.0000 0.4368 0.5000
Se1 Se 0.0000 0.5499 0.0000
O1 O 0.0000 0.5933 0.5000
O2 O 0.0000 0.8432 0.5000
O3 O 0.0449 0.2216 0.2047
```

The following is a calculated X-ray powder pattern of Na5BeSeO2. It was derived from DFT lattice parameters and positions (GGA-PBE), using Cu Ka.

Principal peaks in the range 5 to 70 degrees two-theta, by intensity:
35.40°, I = 100; 38.30°, I = 69; 11.28°, I = 63; 22.05°, I = 59; 29.18°, I = 43; 67.38°, I = 28; 29.67°, I = 25; 61.59°, I = 22

Atomic structure:
```
data_Na5BeSeO2
_symmetry_space_group_name_H-M 'P 4/m m m'
_symmetry_Int_Tables_number 123
_symmetry_space_group_name_Hall '-P 4 2'
_cell_length_a 4.6997
_cell_length_b 4.6997
_cell_length_c 7.8448
_cell_angle_alpha 90.00
_cell_angle_beta 90.00
_cell_angle_gamma 90.00
loop_
_atom_site_label
_atom_site_type_symbol
_atom_site_fract_x
_atom_site_fract_y
_atom_site_fract_z
Na1 Na 0.0000 0.0000 0.0000
Na2 Na 0.0000 0.5000 0.2633
Be1 Be 0.0000 0.0000 0.5000
Se1 Se 0.5000 0.5000 0.0000
O1 O 0.0000 0.0000 0.3137
```